This entry pairs a crystal structure of Rb2LaBr7 with its theoretical PXRD pattern. Radiation: CuKα. Structure: the PBE geometry in Alexandria.
Kinematic intensities with the Lorentz-polarization factor, no thermal factor.

Main lines, sorted by position (2θ from 5° to 70°):
Position (°2θ)  I (rel.)
13.7  353
19.4  197
21.2  309
25.3  620
27.5  1000
32.6  329
39.4  346
43.2  545
47.4  151
52.0  325

Crystal structure
a = 8.489 Å, b = 8.489 Å, c = 8.489 Å
α = 114.71°, β = 114.71°, γ = 99.44°
Fractional positions:
Rb 0.250 0.750 0.500
Rb 0.750 0.250 0.500
La 0.000 0.000 0.000
Br 0.223 0.223 0.446
Br 0.223 0.777 0.000
Br 0.271 0.271 0.000
Br 0.500 0.500 0.000
Br 0.729 0.729 0.000
Br 0.777 0.223 0.000
Br 0.777 0.777 0.554